No. 1
Calculated X-ray powder pattern
Compound: Li6Zn2Au3
Radiation: CuKα
Structure: a crystal structure in Alexandria, relaxed with PBE
No peak broadening, texture or thermal motion is included.

Largest 8 diffraction maxima, by intensity, 5 to 70 degrees two-theta:
2θ (°)  I_rel
26.8  100
38.7  65
19.5  63
55.6  46
38.3  44
39.6  32
23.7  29
30.5  28

Structure:
a = 9.9313 Å, b = 9.9313 Å, c = 9.9313 Å
α = 152.61°, β = 152.61°, γ = 39.13°
Positions (direct):
Li 0.0915 0.5915 0.5000
Li 0.2064 0.2064 0.0000
Li 0.4085 0.9085 0.5000
Li 0.5915 0.0915 0.5000
Li 0.7936 0.7936 0.0000
Li 0.9085 0.4085 0.5000
Zn 0.0624 0.0624 0.0000
Zn 0.9376 0.9376 0.0000
Au 0.3438 0.3438 0.0000
Au 0.5000 0.5000 0.0000
Au 0.6562 0.6562 0.0000

***

No. 2
Calculated X-ray powder pattern
Compound: LiZrAu3
Radiation: CuKα
Structure: a crystal structure in Alexandria, relaxed with PBE
No peak broadening, texture or thermal motion is included.

Largest 8 diffraction maxima, by intensity, 5 to 70 degrees two-theta:
2θ (°)  I_rel
38.6  100
43.5  83
36.1  79
34.0  66
50.4  44
41.0  42
21.5  34
25.2  28

Structure:
a = 7.0674 Å, b = 7.0674 Å, c = 5.5977 Å
α = 93.65°, β = 93.65°, γ = 41.26°
Positions (direct):
Li 0.1842 0.1842 0.4852
Li 0.8158 0.8158 0.5148
Zr 0.4080 0.4080 0.2058
Zr 0.5920 0.5920 0.7942
Au 0.0077 0.0077 0.2536
Au 0.1956 0.1956 0.9787
Au 0.3699 0.3699 0.6908
Au 0.6301 0.6301 0.3092
Au 0.8044 0.8044 0.0213
Au 0.9923 0.9923 0.7464

***

No. 3
Calculated X-ray powder pattern
Compound: LuMgTlAu
Radiation: CuKα
Structure: a crystal structure in Alexandria, relaxed with PBE
No peak broadening, texture or thermal motion is included.

Largest 8 diffraction maxima, by intensity, 5 to 70 degrees two-theta:
2θ (°)  I_rel
36.0  100
64.7  37
51.8  18
21.8  14
25.2  13
42.5  8
58.5  6
44.5  4

Structure:
a = 4.9895 Å, b = 4.9895 Å, c = 4.9895 Å
α = 60.00°, β = 60.00°, γ = 60.00°
Positions (direct):
Lu 0.0000 0.0000 0.0000
Mg 0.5000 0.5000 0.5000
Tl 0.7500 0.7500 0.7500
Au 0.2500 0.2500 0.2500

***

No. 4
Calculated X-ray powder pattern
Compound: YLuMnAu
Radiation: CuKα
Structure: a crystal structure in Alexandria, relaxed with PBE
No peak broadening, texture or thermal motion is included.

Largest 7 diffraction maxima, by intensity, 5 to 70 degrees two-theta:
2θ (°)  I_rel
35.8  100
64.3  36
21.7  22
51.5  18
42.2  13
56.5  6
68.7  4

Structure:
a = 5.0188 Å, b = 5.0188 Å, c = 5.0188 Å
α = 60.00°, β = 60.00°, γ = 60.00°
Positions (direct):
Y 0.0000 0.0000 0.0000
Lu 0.5000 0.5000 0.5000
Mn 0.7500 0.7500 0.7500
Au 0.2500 0.2500 0.2500

***

No. 5
Calculated X-ray powder pattern
Compound: NdLuRhAu
Radiation: CuKα
Structure: a crystal structure in Alexandria, relaxed with PBE
No peak broadening, texture or thermal motion is included.

Largest 7 diffraction maxima, by intensity, 5 to 70 degrees two-theta:
2θ (°)  I_rel
35.8  100
64.4  36
51.5  18
21.7  5
42.3  3
56.6  1
68.8  1

Structure:
a = 5.0149 Å, b = 5.0149 Å, c = 5.0149 Å
α = 60.00°, β = 60.00°, γ = 60.00°
Positions (direct):
Nd 0.0000 0.0000 0.0000
Lu 0.5000 0.5000 0.5000
Rh 0.7500 0.7500 0.7500
Au 0.2500 0.2500 0.2500

***

No. 6
Calculated X-ray powder pattern
Compound: YLuPdAu
Radiation: CuKα
Structure: a crystal structure in Alexandria, relaxed with PBE
No peak broadening, texture or thermal motion is included.

Largest 8 diffraction maxima, by intensity, 5 to 70 degrees two-theta:
2θ (°)  I_rel
36.0  100
64.8  36
51.9  18
21.8  10
42.5  6
57.0  3
69.3  2
25.3  1

Structure:
a = 4.9836 Å, b = 4.9836 Å, c = 4.9836 Å
α = 60.00°, β = 60.00°, γ = 60.00°
Positions (direct):
Y 0.0000 0.0000 0.0000
Lu 0.5000 0.5000 0.5000
Pd 0.2500 0.2500 0.2500
Au 0.7500 0.7500 0.7500

***

No. 7
Calculated X-ray powder pattern
Compound: LuPuPtAu
Radiation: CuKα
Structure: a crystal structure in Alexandria, relaxed with PBE
No peak broadening, texture or thermal motion is included.

Largest 5 diffraction maxima, by intensity, 5 to 70 degrees two-theta:
2θ (°)  I_rel
36.0  100
64.7  37
51.8  18
21.8  1
42.5  1

Structure:
a = 4.9933 Å, b = 4.9933 Å, c = 4.9933 Å
α = 60.00°, β = 60.00°, γ = 60.00°
Positions (direct):
Lu 0.0000 0.0000 0.0000
Pu 0.5000 0.5000 0.5000
Pt 0.7500 0.7500 0.7500
Au 0.2500 0.2500 0.2500

***

No. 8
Calculated X-ray powder pattern
Compound: Lu2RuAu
Radiation: CuKα
Structure: a crystal structure in Alexandria, relaxed with PBE
No peak broadening, texture or thermal motion is included.

Largest 7 diffraction maxima, by intensity, 5 to 70 degrees two-theta:
2θ (°)  I_rel
37.0  100
66.6  36
53.3  18
22.4  5
43.7  3
58.5  1
25.9  1

Structure:
a = 4.8630 Å, b = 4.8630 Å, c = 4.8630 Å
α = 60.00°, β = 60.00°, γ = 60.00°
Positions (direct):
Lu 0.2500 0.2500 0.2500
Lu 0.7500 0.7500 0.7500
Ru 0.0000 0.0000 0.0000
Au 0.5000 0.5000 0.5000